# 1
Calculated X-ray powder pattern of Ba3BeAs3 for Cu Kα (λ = 1.5418 Å), from a crystal structure in Alexandria, relaxed with GGA-PBE.
Lines closer than 0.1° are merged.

Cell and atoms:
Unit cell a=19.6807 b=6.7672 c=13.3291 alpha=90.00 beta=90.00 gamma=90.00
Space group Cmce (No. 64)
One atom of each set of equivalent atoms:
Ba 0.0000 0.1879 0.1471 x8
Ba 0.1709 0.2006 0.8710 x16
Be 0.0791 0.0000 0.5000 x8
As 0.0000 0.1908 0.4058 x8
As 0.1557 0.1852 0.6100 x16

Main lines, most intense first (10 to 80 degrees two-theta):
- hkl 6 0 0, 2θ 27.19, intensity 100
- hkl 0 0 4, 2θ 26.75, intensity 88
- hkl 6 0 4, 2θ 38.51, intensity 66
- hkl 0 2 0, 2θ 26.34, intensity 62
- hkl 6 2 0, 2θ 38.21, intensity 46
- hkl 6 2 4, 2θ 47.25, intensity 45
- hkl 0 2 4, 2θ 37.90, intensity 42
- hkl 3 1 2, 2θ 23.12, intensity 41
- hkl 2 2 1, 2θ 28.69, intensity 34
- hkl 4 2 1, 2θ 32.82, intensity 26


# 2
Calculated X-ray powder pattern of Tb5Er5Tl for Cu Kα (λ = 1.5418 Å), from a crystal structure in Alexandria, relaxed with GGA-PBE.
Lines closer than 0.1° are merged.

Cell and atoms:
Unit cell a=6.0703 b=6.0703 c=11.2114 alpha=90.00 beta=90.00 gamma=120.00
Space group P-6m2 (No. 187)
One atom of each set of equivalent atoms:
Tb 0.0000 0.0000 0.0000 x1
Tb 0.3333 0.6667 0.2926 x2
Tb 0.6667 0.3333 0.1897 x2
Er 0.0000 0.0000 0.2680 x2
Er 0.3379 0.1690 0.5000 x3
Tl 0.3333 0.6667 0.0000 x1

Main lines, most intense first (10 to 80 degrees two-theta):
- hkl 1 1 0, 2θ 29.43, intensity 100
- hkl 1 0 3, 2θ 29.32, intensity 91
- hkl 3 0 0, 2θ 52.16, intensity 56
- hkl 1 1 2, 2θ 33.58, intensity 42
- hkl 1 1 1, 2θ 30.51, intensity 37
- hkl 0 0 4, 2θ 31.93, intensity 35
- hkl 2 2 0, 2θ 61.06, intensity 32
- hkl 2 0 2, 2θ 37.80, intensity 30
- hkl 1 1 4, 2θ 43.96, intensity 26
- hkl 1 1 3, 2θ 38.20, intensity 25


# 3
Calculated X-ray powder pattern of Na8In3Hg for Cu Kα (λ = 1.5418 Å), from a crystal structure in Alexandria, relaxed with GGA-PBE.
Lines closer than 0.1° are merged.

Cell and atoms:
Unit cell a=10.5352 b=10.6452 c=15.1621 alpha=90.00 beta=90.00 gamma=90.00
Space group Fmmm (No. 69)
One atom of each set of equivalent atoms:
Na 0.0000 0.2497 0.1242 x16
Na 0.2501 0.0000 0.1256 x16
In 0.0000 0.0000 0.0000 x4
In 0.2500 0.2500 0.2500 x8
Hg 0.0000 0.0000 0.5000 x4

Main lines, most intense first (10 to 80 degrees two-theta):
- hkl 2 2 4, 2θ 33.65, intensity 100
- hkl 0 2 2, 2θ 20.39, intensity 75
- hkl 2 0 2, 2θ 20.53, intensity 75
- hkl 0 2 6, 2θ 39.51, intensity 28
- hkl 2 4 2, 2θ 39.77, intensity 28
- hkl 4 2 2, 2θ 40.00, intensity 27
- hkl 2 2 0, 2θ 23.76, intensity 21
- hkl 4 0 8, 2θ 60.19, intensity 21
- hkl 4 0 0, 2θ 34.04, intensity 19
- hkl 4 2 6, 2θ 53.06, intensity 18


# 4
Calculated X-ray powder pattern of NaAc2P3Pt4 for Cu Kα (λ = 1.5418 Å), from a crystal structure in Alexandria, relaxed with GGA-PBE.
Lines closer than 0.1° are merged.

Cell and atoms:
Unit cell a=4.3417 b=4.3417 c=10.5011 alpha=90.00 beta=90.00 gamma=90.00
Space group P-4m2 (No. 115)
One atom of each set of equivalent atoms:
Na 0.0000 0.0000 0.0000 x1
Ac 0.0000 0.5000 0.7405 x2
P 0.0000 0.5000 0.3773 x2
P 0.5000 0.5000 0.0000 x1
Pt 0.0000 0.0000 0.5000 x1
Pt 0.0000 0.5000 0.1516 x2
Pt 0.5000 0.5000 0.5000 x1

Main lines, most intense first (10 to 80 degrees two-theta):
- hkl 1 1 2, 2θ 33.82, intensity 100
- hkl 2 0 0, 2θ 41.60, intensity 50
- hkl 1 0 3, 2θ 32.87, intensity 37
- hkl 1 1 1, 2θ 30.33, intensity 30
- hkl 1 0 5, 2θ 48.13, intensity 27
- hkl 3 1 2, 2θ 70.95, intensity 24
- hkl 1 0 2, 2θ 26.64, intensity 23
- hkl 2 1 5, 2θ 65.46, intensity 22
- hkl 2 1 3, 2θ 54.01, intensity 19
- hkl 2 2 0, 2θ 60.29, intensity 17


# 5
Calculated X-ray powder pattern of Sm3Tl2Sn for Cu Kα (λ = 1.5418 Å), from a crystal structure in Alexandria, relaxed with GGA-PBE.
Lines closer than 0.1° are merged.

Cell and atoms:
Unit cell a=16.4658 b=6.5243 c=6.5986 alpha=90.00 beta=102.35 gamma=90.00
Space group C2/c (No. 15)
One atom of each set of equivalent atoms:
Sm 0.0000 0.1395 0.2500 x4
Sm 0.1683 0.3839 0.5940 x8
Tl 0.1661 0.1168 0.0611 x8
Sn 0.0000 0.3604 0.7500 x4

Main lines, most intense first (10 to 80 degrees two-theta):
- hkl 4 0 -2, 2θ 31.65, intensity 100
- hkl 2 0 2, 2θ 32.05, intensity 69
- hkl 6 0 0, 2θ 33.42, intensity 64
- hkl 0 2 1, 2θ 30.72, intensity 58
- hkl 2 2 1, 2θ 33.75, intensity 54
- hkl 4 2 -1, 2θ 36.31, intensity 46
- hkl 4 4 -2, 2θ 66.13, intensity 25
- hkl 6 2 -1, 2θ 43.63, intensity 23
- hkl 2 2 -3, 2θ 50.07, intensity 21
- hkl 0 4 0, 2θ 56.40, intensity 18


# 6
Calculated X-ray powder pattern of TbSn2Te4Au for Cu Kα (λ = 1.5418 Å), from a crystal structure in Alexandria, relaxed with GGA-PBE.
Lines closer than 0.1° are merged.

Cell and atoms:
Unit cell a=7.8043 b=4.3578 c=7.8483 alpha=90.00 beta=111.55 gamma=90.00
Space group P2/m (No. 10)
One atom of each set of equivalent atoms:
Tb 0.0000 0.0000 0.0000 x1
Sn 0.0000 0.5000 0.5000 x1
Sn 0.5000 0.0000 0.5000 x1
Te 0.2377 0.5000 0.2504 x2
Te 0.2688 0.0000 0.7769 x2
Au 0.5000 0.5000 0.0000 x1

Main lines, most intense first (10 to 80 degrees two-theta):
- hkl 1 1 1, 2θ 28.83, intensity 100
- hkl 2 0 -2, 2θ 27.57, intensity 57
- hkl 3 1 -1, 2θ 40.40, intensity 41
- hkl 1 1 -3, 2θ 40.22, intensity 40
- hkl 2 2 -2, 2θ 50.50, intensity 22
- hkl 0 2 0, 2θ 41.44, intensity 19
- hkl 2 0 2, 2θ 41.01, intensity 18
- hkl 2 2 2, 2θ 59.72, intensity 12
- hkl 4 0 0, 2θ 50.28, intensity 11
- hkl 4 2 -4, 2θ 72.80, intensity 11


# 7
Calculated X-ray powder pattern of CaPuZn10 for Cu Kα (λ = 1.5418 Å), from a crystal structure in Alexandria, relaxed with GGA-PBE.
Lines closer than 0.1° are merged.

Cell and atoms:
Unit cell a=4.2667 b=5.3498 c=9.2965 alpha=90.00 beta=90.00 gamma=90.00
Space group Pmmm (No. 47)
One atom of each set of equivalent atoms:
Ca 0.0000 0.0000 0.0000 x1
Pu 0.0000 0.5000 0.5000 x1
Zn 0.0000 0.0000 0.3309 x2
Zn 0.0000 0.5000 0.1650 x2
Zn 0.5000 0.0000 0.5000 x1
Zn 0.5000 0.2553 0.2569 x4
Zn 0.5000 0.5000 0.0000 x1

Main lines, most intense first (10 to 80 degrees two-theta):
- hkl 1 1 3, 2θ 39.72, intensity 100
- hkl 1 1 1, 2θ 28.42, intensity 37
- hkl 0 0 4, 2θ 38.81, intensity 34
- hkl 2 0 0, 2θ 42.37, intensity 29
- hkl 0 2 0, 2θ 33.44, intensity 28
- hkl 2 0 4, 2θ 58.80, intensity 19
- hkl 1 3 3, 2θ 64.08, intensity 15
- hkl 3 1 3, 2θ 75.71, intensity 14
- hkl 2 2 0, 2θ 55.02, intensity 13
- hkl 1 2 2, 2θ 44.45, intensity 12


# 8
Calculated X-ray powder pattern of Pr5Al2 for Cu Kα (λ = 1.5418 Å), from a crystal structure in Alexandria, relaxed with GGA-PBE.
Lines closer than 0.1° are merged.

Cell and atoms:
Unit cell a=8.1946 b=15.2449 c=6.8378 alpha=90.00 beta=90.00 gamma=90.00
Space group Ibam (No. 72)
One atom of each set of equivalent atoms:
Pr 0.0000 0.0000 0.2500 x4
Pr 0.0000 0.2391 0.2500 x8
Pr 0.1605 0.4185 0.0000 x8
Al 0.2335 0.3749 0.5000 x8

Main lines, most intense first (10 to 80 degrees two-theta):
- hkl 1 1 2, 2θ 28.91, intensity 100
- hkl 0 4 2, 2θ 35.28, intensity 97
- hkl 2 0 2, 2θ 34.16, intensity 87
- hkl 2 4 0, 2θ 32.07, intensity 78
- hkl 3 1 0, 2θ 33.32, intensity 45
- hkl 1 2 1, 2θ 20.54, intensity 44
- hkl 1 5 0, 2θ 31.30, intensity 41
- hkl 2 3 1, 2θ 30.94, intensity 39
- hkl 3 5 2, 2θ 52.33, intensity 33
- hkl 0 2 2, 2θ 28.62, intensity 32


# 9
Calculated X-ray powder pattern of SrLiTc2O7 for Cu Kα (λ = 1.5418 Å), from a crystal structure in Alexandria, relaxed with GGA-PBE.
Lines closer than 0.1° are merged.

Cell and atoms:
Unit cell a=3.8815 b=3.8815 c=18.3923 alpha=90.00 beta=90.00 gamma=90.00
Space group I-4m2 (No. 119)
One atom of each set of equivalent atoms:
Sr 0.0000 0.0000 0.0000 x2
Li 0.0000 0.5000 0.2500 x2
Tc 0.0000 0.0000 0.3869 x4
O 0.0000 0.0000 0.2895 x4
O 0.0000 0.0000 0.5000 x2
O 0.0000 0.5000 0.1079 x4
O 0.0000 0.5000 0.6014 x4

Main lines, most intense first (10 to 80 degrees two-theta):
- hkl 1 0 3, 2θ 27.19, intensity 100
- hkl 1 0 5, 2θ 33.56, intensity 71
- hkl 1 1 0, 2θ 32.63, intensity 54
- hkl 2 0 0, 2θ 46.81, intensity 44
- hkl 1 0 1, 2θ 23.42, intensity 31
- hkl 2 1 5, 2θ 58.82, intensity 30
- hkl 2 1 3, 2θ 54.98, intensity 27
- hkl 0 0 4, 2θ 19.30, intensity 23
- hkl 0 0 8, 2θ 39.18, intensity 20
- hkl 1 1 8, 2θ 51.88, intensity 20


# 10
Calculated X-ray powder pattern of Sr2ZnInPd6 for Cu Kα (λ = 1.5418 Å), from a crystal structure in Alexandria, relaxed with GGA-PBE.
Lines closer than 0.1° are merged.

Cell and atoms:
Unit cell a=6.6737 b=6.6863 c=6.7473 alpha=61.42 beta=61.55 gamma=61.68
Space group P-1 (No. 2)
One atom of each set of equivalent atoms:
Sr 0.2003 0.1986 0.2009 x2
Zn 0.0000 0.0000 0.0000 x1
In 0.5000 0.5000 0.5000 x1
Pd 0.1586 0.3193 0.6240 x2
Pd 0.3218 0.6268 0.1584 x2
Pd 0.3721 0.8397 0.6813 x2

Main lines, most intense first (10 to 80 degrees two-theta):
- hkl 1 1 1, 2θ 16.39, intensity 100
- hkl 0 2 -1, 2θ 40.63, intensity 72
- hkl -1 2 1, 2θ 41.78, intensity 67
- hkl 2 1 0, 2θ 31.03, intensity 60
- hkl 1 0 2, 2θ 30.73, intensity 58
- hkl 0 2 1, 2θ 30.87, intensity 58
- hkl 1 -1 2, 2θ 41.66, intensity 53
- hkl 0 1 3, 2θ 45.90, intensity 44
- hkl 1 2 2, 2θ 31.34, intensity 38
- hkl 1 0 -2, 2θ 40.43, intensity 37


# 11
Calculated X-ray powder pattern of DyMg2Cu9 for Cu Kα (λ = 1.5418 Å), from a crystal structure in Alexandria, relaxed with GGA-PBE.
Lines closer than 0.1° are merged.

Cell and atoms:
Unit cell a=5.0531 b=5.0531 c=15.9645 alpha=90.00 beta=90.00 gamma=120.00
Space group P6_3/mmc (No. 194)
One atom of each set of equivalent atoms:
Dy 0.3333 0.6667 0.2500 x2
Mg 0.3333 0.6667 0.0329 x4
Cu 0.0000 0.0000 0.0000 x2
Cu 0.0000 0.0000 0.2500 x2
Cu 0.1684 0.3369 0.6230 x12
Cu 0.3333 0.6667 0.7500 x2

Main lines, most intense first (10 to 80 degrees two-theta):
- hkl 1 1 4, 2θ 42.34, intensity 100
- hkl 0 0 2, 2θ 11.08, intensity 42
- hkl 2 0 1, 2θ 41.66, intensity 41
- hkl 0 0 8, 2θ 45.45, intensity 28
- hkl 1 0 3, 2θ 26.37, intensity 25
- hkl 1 0 5, 2θ 34.78, intensity 23
- hkl 3 0 4, 2θ 68.48, intensity 22
- hkl 1 1 0, 2θ 35.53, intensity 22
- hkl 2 2 0, 2θ 75.22, intensity 20
- hkl 2 0 7, 2θ 58.45, intensity 17


# 12
Calculated X-ray powder pattern of CeDy2YSe6 for Cu Kα (λ = 1.5418 Å), from a crystal structure in Alexandria, relaxed with GGA-PBE.
Lines closer than 0.1° are merged.

Cell and atoms:
Unit cell a=7.2913 b=7.2913 c=19.5382 alpha=90.00 beta=90.00 gamma=120.00
Space group R3 (No. 146, hexagonal axes)
One atom of each set of equivalent atoms:
Ce 0.0000 0.0000 0.0000 x3
Dy 0.0000 0.0000 0.2981 x3
Dy 0.0000 0.0000 0.8011 x3
Y 0.0000 0.0000 0.4956 x3
Se 0.0031 0.3084 0.8962 x9
Se 0.0191 0.7117 0.3966 x9

Main lines, most intense first (10 to 80 degrees two-theta):
- hkl 2 -1 6, 2θ 37.02, intensity 100
- hkl 1 1 3, 2θ 28.05, intensity 72
- hkl 3 0 0, 2θ 42.97, intensity 66
- hkl 1 0 4, 2θ 23.02, intensity 54
- hkl 0 1 2, 2θ 16.72, intensity 49
- hkl 0 2 4, 2θ 33.80, intensity 40
- hkl 3 -1 4, 2θ 42.14, intensity 35
- hkl 1 0 10, 2θ 48.81, intensity 33
- hkl 1 1 0, 2θ 24.42, intensity 33
- hkl 2 2 6, 2θ 57.98, intensity 25


# 13
Calculated X-ray powder pattern of AlPS4 for Cu Kα (λ = 1.5418 Å), from a crystal structure in Alexandria, relaxed with GGA-PBE.
Lines closer than 0.1° are merged.

Cell and atoms:
Unit cell a=5.7233 b=5.7233 c=10.4590 alpha=90.00 beta=90.00 gamma=90.00
Space group P-42c (No. 112)
One atom of each set of equivalent atoms:
Al 0.0000 0.0000 0.2500 x2
P 0.0000 0.5000 0.2500 x2
S 0.1986 0.2765 0.1387 x8

Main lines, most intense first (10 to 80 degrees two-theta):
- hkl 1 1 2, 2θ 27.88, intensity 100
- hkl 1 0 1, 2θ 17.67, intensity 69
- hkl 0 0 2, 2θ 16.95, intensity 40
- hkl 2 0 4, 2θ 47.08, intensity 37
- hkl 1 0 0, 2θ 15.48, intensity 21
- hkl 2 2 0, 2θ 44.79, intensity 20
- hkl 2 1 3, 2θ 43.88, intensity 16
- hkl 3 1 2, 2θ 53.58, intensity 14
- hkl 3 2 1, 2θ 58.84, intensity 12
- hkl 2 1 1, 2θ 36.13, intensity 10